For V2CdP2O9, a cell relaxed with GGA+U gives the simulated X-ray diffraction stick pattern in this record (Cu Kα (λ = 1.5418 Å)).

Cell and atoms:
```
data_V2CdP2O9
_cell_length_a 14.560
_cell_length_b 6.403
_cell_length_c 7.453
_cell_angle_alpha 90.00
_cell_angle_beta 90.00
_cell_angle_gamma 90.00
_space_group_name_H-M_alt 'P n m a'
_space_group_IT_number 62
_space_group_name_Hall '-P 2ac 2n'
loop_
_atom_site_label
_atom_site_type_symbol
_atom_site_fract_x
_atom_site_fract_y
_atom_site_fract_z
_atom_site_occupancy
V1 V 0.000 0.000 0.000 1
V2 V 0.122 0.250 0.350 1
Cd1 Cd 0.223 0.250 0.867 1
P1 P 0.067 0.750 0.367 1
P2 P 0.194 0.750 0.894 1
O1 O 0.002 0.250 0.484 1
O2 O 0.019 0.750 0.180 1
O3 O 0.048 0.250 0.128 1
O4 O 0.133 0.549 0.901 1
O5 O 0.134 0.561 0.374 1
O6 O 0.233 0.250 0.547 1
O7 O 0.247 0.250 0.220 1
```

Most intense lines, 2θ = 15–90°, by angle:
hkl	two_theta	I (rel.)
1 0 2	24.66	100
4 0 1	27.27	23
0 2 0	27.87	35
2 2 0	30.50	24
4 1 1	30.69	21
5 0 1	33.02	21
3 2 1	35.69	13
1 2 2	37.55	23
4 2 1	39.39	25
5 2 3	56.55	17